1.
# RbThBeS4
Computed powder diffraction line list, Cu Kα (weighted mean of Kα1 and Kα2). Input: a crystal structure in Alexandria, relaxed with GGA-PBE.

Cell and atoms:
```
RbThBeS4
1.0
6.8309 0.0000 0.0000
0.0000 5.6259 0.0000
-2.3360 0.0000 9.1293
Rb Th Be S
2 2 2 8
Direct
0.2423 0.2500 0.4575 Rb
0.7577 0.7500 0.5425 Rb
0.2389 0.2500 0.9427 Th
0.7611 0.7500 0.0573 Th
0.2489 0.7500 0.1691 Be
0.7511 0.2500 0.8309 Be
0.0610 0.7500 0.3078 S
0.1065 0.7500 0.9428 S
0.4902 0.0044 0.2018 S
0.4902 0.4956 0.2018 S
0.5098 0.5044 0.7982 S
0.5098 0.9956 0.7982 S
0.8935 0.2500 0.0572 S
0.9390 0.2500 0.6922 S
```

Principal peaks in the range 2θ = 10–90°, in order of falling intensity:
Position (°2θ), d [Å], Rel. int.
20.7, 4.286, 100
29.1, 3.064, 39
30.8, 2.901, 34
26.1, 3.410, 33
26.3, 3.387, 31
42.2, 2.143, 25
38.3, 2.350, 25
37.6, 2.395, 24
19.4, 4.565, 23
44.1, 2.054, 23


2.
# Mg2ZnTcO6
Computed powder diffraction line list, Cu Kα (weighted mean of Kα1 and Kα2). Input: a crystal structure in Alexandria, relaxed with GGA-PBE.

Cell and atoms:
```
Mg2ZnTcO6
1.0
2.6131 1.5087 4.7746
-2.6131 1.5087 4.7746
0.0000 -3.0174 4.7746
Mg Zn Tc O
2 1 1 6
Direct
0.0000 0.0000 0.0000 Mg
0.4995 0.4995 0.4995 Mg
0.7483 0.7483 0.7483 Zn
0.2011 0.2011 0.2011 Tc
0.1136 0.8073 0.3877 O
0.2679 0.5707 0.9359 O
0.3877 0.1136 0.8073 O
0.5707 0.9359 0.2679 O
0.8073 0.3877 0.1136 O
0.9359 0.2679 0.5707 O
```

Principal peaks in the range 2θ = 10–90°, in order of falling intensity:
Position (°2θ), d [Å], Rel. int.
23.2, 3.826, 100
31.9, 2.808, 94
34.3, 2.613, 75
39.3, 2.292, 40
61.5, 1.509, 37
47.5, 1.913, 36
59.9, 1.544, 34
18.6, 4.775, 31
51.9, 1.763, 24
37.1, 2.421, 23


3.
# Cs3Ge3Pt5
Computed powder diffraction line list, Cu Kα (weighted mean of Kα1 and Kα2). Input: a crystal structure in Alexandria, relaxed with GGA-PBE.

Cell and atoms:
```
Cs3Ge3Pt5
1.0
7.0277 0.0000 0.0000
2.5909 6.9987 0.0000
1.3969 3.3409 6.5712
Cs Ge Pt
3 3 5
Direct
0.0000 0.0000 0.0000 Cs
0.0068 0.3292 0.3336 Cs
0.0163 0.6509 0.6729 Cs
0.4878 0.8068 0.3577 Ge
0.5041 0.1619 0.6133 Ge
0.5046 0.5505 0.9972 Ge
0.4724 0.5072 0.3356 Pt
0.4751 0.8343 0.6605 Pt
0.5166 0.3614 0.7951 Pt
0.5205 0.1656 0.2296 Pt
0.5228 0.9199 0.9899 Pt
```

Principal peaks in the range 2θ = 10–90°, in order of falling intensity:
Position (°2θ), d [Å], Rel. int.
13.4, 6.589, 100
27.1, 3.294, 79
24.3, 3.667, 28
41.2, 2.190, 16
36.8, 2.439, 13
23.7, 3.754, 13
33.1, 2.709, 13
37.4, 2.403, 12
42.1, 2.147, 11
32.6, 2.743, 11


4.
# Ta6Ru5Rh
Computed powder diffraction line list, Cu Kα (weighted mean of Kα1 and Kα2). Input: a crystal structure in Alexandria, relaxed with GGA-PBE.

Cell and atoms:
```
Ta6Ru5Rh
1.0
7.2213 -2.1644 0.0000
7.2213 2.1644 0.0000
-3.4611 0.0000 6.1662
Ta Ru Rh
6 5 1
Direct
0.0243 0.0243 0.2687 Ta
0.3197 0.3197 0.5697 Ta
0.3412 0.3412 0.0880 Ta
0.6588 0.6588 0.9120 Ta
0.6803 0.6803 0.4303 Ta
0.9757 0.9757 0.7313 Ta
0.1633 0.1633 0.6956 Ru
0.1673 0.1673 0.1359 Ru
0.5000 0.5000 0.0000 Ru
0.8327 0.8327 0.8641 Ru
0.8367 0.8367 0.3044 Ru
0.5000 0.5000 0.5000 Rh
```

Principal peaks in the range 2θ = 10–90°, in order of falling intensity:
Position (°2θ), d [Å], Rel. int.
39.3, 2.294, 100
41.7, 2.164, 23
43.1, 2.099, 17
74.5, 1.273, 15
61.5, 1.507, 11
51.7, 1.768, 11
68.5, 1.369, 9
76.4, 1.246, 8
84.5, 1.147, 8
89.2, 1.098, 7


5.
# Tl7AsS6
Computed powder diffraction line list, Cu Kα (weighted mean of Kα1 and Kα2). Input: a crystal structure in Alexandria, relaxed with GGA-PBE.

Cell and atoms:
```
Tl7AsS6
1.0
-3.8453 6.8149 8.4509
3.8453 -6.8149 8.4509
3.8453 6.8149 -8.4509
Tl As S
14 2 12
Direct
0.0243 0.7259 0.7502 Tl
0.0769 0.1151 0.4247 Tl
0.1904 0.6151 0.0382 Tl
0.2500 0.2500 0.0000 Tl
0.3096 0.3479 0.4247 Tl
0.4231 0.8479 0.0382 Tl
0.4757 0.2259 0.7016 Tl
0.5243 0.7741 0.2984 Tl
0.5769 0.1521 0.9618 Tl
0.6904 0.6521 0.5753 Tl
0.7500 0.7500 0.0000 Tl
0.8096 0.3849 0.9618 Tl
0.9231 0.8849 0.5753 Tl
0.9757 0.2741 0.2498 Tl
0.2500 0.7500 0.5000 As
0.7500 0.2500 0.5000 As
0.0811 0.5091 0.2425 S
0.1926 0.9270 0.1196 S
0.2334 0.9909 0.5720 S
0.2666 0.8386 0.7575 S
0.3074 0.4270 0.7344 S
0.4189 0.6614 0.4280 S
0.5811 0.3386 0.5720 S
0.6926 0.5730 0.2656 S
0.7334 0.1614 0.2425 S
0.7666 0.0091 0.4280 S
0.8074 0.0730 0.8804 S
0.9189 0.4909 0.7575 S
```

Principal peaks in the range 2θ = 10–90°, in order of falling intensity:
Position (°2θ), d [Å], Rel. int.
24.8, 3.591, 100
29.1, 3.064, 65
44.6, 2.033, 39
28.7, 3.113, 36
23.1, 3.845, 35
31.8, 2.818, 34
34.2, 2.625, 30
25.4, 3.500, 30
41.9, 2.156, 29
54.1, 1.695, 23